Computed powder diffractogram of LuGaCoO4 for Cu Kα (λ = 1.5418 Å), from the GGA+U geometry in Alexandria.
Neutral-atom scattering factors, no anomalous dispersion.

The 8 most intense peaks (10° ≤ 2θ ≤ 90°), low angle first:
Position (°2θ)	I/Imax
10.55	59
30.29	100
32.02	51
33.35	96
35.07	84
47.35	46
53.41	56
63.64	42

Cell and atoms:
a = 8.615 Å, b = 8.615 Å, c = 8.615 Å
α = 22.97°, β = 22.97°, γ = 22.97°
Fractional positions:
Lu 0.000 0.000 0.000
Ga 0.215 0.215 0.215
Co 0.786 0.786 0.786
O 0.137 0.137 0.137
O 0.291 0.291 0.291
O 0.707 0.707 0.707
O 0.879 0.879 0.879